Simulated powder diffractogram
Compound: Ga6SnI12
Radiation: a wavelength of 1.5418 Å
Structure: DFT lattice parameters and positions (PBE)
Kinematic intensities with the Lorentz-polarization factor, no thermal factor.

Largest 8 diffraction maxima, in order of falling intensity, 10° ≤ 2θ ≤ 90°:
Position (°2θ)  I_rel
11.0  100.0
22.0  83.8
28.5  51.2
22.1  38.5
25.7  37.3
29.7  37.1
24.9  34.3
34.4  34.0

Cell lengths 9.7128, 10.3900, 10.7852 Å; angles 99.28, 112.74, 108.57 degrees
Element x y z (fractional)
Ga  0.0189  0.3035  0.2561
Ga  0.1659  0.5923  0.6991
Ga  0.2266  0.6721  0.5129
Ga  0.7734  0.3279  0.4871
Ga  0.8341  0.4077  0.3009
Ga  0.9811  0.6965  0.7439
Sn  0.5000  0.0000  0.0000
I  0.0510  0.3151  0.6820
I  0.1539  0.8577  0.0161
I  0.1623  0.1565  0.3764
I  0.3006  0.5544  0.3188
I  0.4030  0.9535  0.6565
I  0.4629  0.6784  0.9202
I  0.5371  0.3216  0.0798
I  0.5970  0.0465  0.3435
I  0.6994  0.4456  0.6812
I  0.8377  0.8435  0.6236
I  0.8461  0.1423  0.9839
I  0.9490  0.6849  0.3180

Simulated powder diffractogram
Compound: MgSiRh3
Radiation: a wavelength of 1.5418 Å
Structure: DFT lattice parameters and positions (PBE)
Kinematic intensities with the Lorentz-polarization factor, no thermal factor.

Largest 8 diffraction maxima, in order of falling intensity, 10° ≤ 2θ ≤ 90°:
Position (°2θ)  I_rel
34.6  100.0
43.2  43.5
34.8  39.7
20.9  34.7
42.6  33.2
41.7  30.0
56.0  20.0
59.9  17.2

Cell lengths 5.7243, 5.7243, 5.7243 Å; angles 68.90, 68.90, 68.90 degrees
Element x y z (fractional)
Mg  0.0000  0.0000  0.0000
Mg  0.5000  0.5000  0.5000
Si  0.2942  0.2942  0.2942
Si  0.7942  0.7942  0.7942
Rh  0.1158  0.9342  0.4515
Rh  0.4342  0.6158  0.9515
Rh  0.4515  0.1158  0.9342
Rh  0.6158  0.9515  0.4342
Rh  0.9342  0.4515  0.1158
Rh  0.9515  0.4342  0.6158

Simulated powder diffractogram
Compound: Ce4SO3
Radiation: a wavelength of 1.5418 Å
Structure: DFT lattice parameters and positions (PBE)
Kinematic intensities with the Lorentz-polarization factor, no thermal factor.

Largest 8 diffraction maxima, in order of falling intensity, 10° ≤ 2θ ≤ 90°:
Position (°2θ)  I_rel
32.2  100.0
40.9  26.6
50.9  24.6
28.5  17.4
61.5  15.5
52.9  15.1
59.4  14.2
83.8  13.0

Cell lengths 3.5884, 3.5884, 12.5188 Å; angles 90.00, 90.00, 120.00 degrees
Element x y z (fractional)
Ce  0.3333  0.6667  0.3494
Ce  0.3333  0.6667  0.8833
Ce  0.6667  0.3333  0.1167
Ce  0.6667  0.3333  0.6506
S  0.0000  0.0000  0.5000
O  0.0000  0.0000  0.0000
O  0.0000  0.0000  0.2333
O  0.0000  0.0000  0.7667

Simulated powder diffractogram
Compound: Tb3HoSe6
Radiation: a wavelength of 1.5418 Å
Structure: DFT lattice parameters and positions (PBE)
Kinematic intensities with the Lorentz-polarization factor, no thermal factor.

Largest 8 diffraction maxima, in order of falling intensity, 10° ≤ 2θ ≤ 90°:
Position (°2θ)  I_rel
29.8  100.0
44.1  97.2
40.4  76.8
32.8  76.0
23.0  75.6
22.4  50.8
25.3  50.0
41.9  48.6

Cell lengths 11.5908, 4.1072, 11.8841 Å; angles 90.00, 109.04, 90.00 degrees
Element x y z (fractional)
Tb  0.0703  0.2500  0.1681
Tb  0.1829  0.7500  0.5024
Tb  0.3408  0.2500  0.9179
Tb  0.6592  0.7500  0.0821
Tb  0.8171  0.2500  0.4976
Tb  0.9297  0.7500  0.8319
Ho  0.4577  0.2500  0.3096
Ho  0.5423  0.7500  0.6904
Se  0.0196  0.2500  0.3843
Se  0.1026  0.2500  0.9359
Se  0.2497  0.7500  0.2787
Se  0.3100  0.7500  0.7497
Se  0.3906  0.2500  0.5355
Se  0.4172  0.7500  0.1005
Se  0.5828  0.2500  0.8995
Se  0.6094  0.7500  0.4645
Se  0.6900  0.2500  0.2503
Se  0.7503  0.2500  0.7213
Se  0.8974  0.7500  0.0641
Se  0.9804  0.7500  0.6157